Theoretical X-ray diffraction stick pattern
Compound: Li9Co7O16
Radiation: Cu Kα X-rays
Structure: a structure optimized by DFT (GGA+U)
No peak broadening, texture or thermal motion is included.

Principal peaks in the range 10 to 80 degrees two-theta, in order of falling intensity:
d/Å, two_theta, I/Imax, index
4.719, 18.8, 1000, 0 1 1
2.021, 44.9, 496, 0 3 -1
2.421, 37.1, 249, 0 2 -2
2.017, 44.9, 247, 2 0 -2
1.419, 65.8, 134, 2 3 -3
2.426, 37.1, 124, 2 0 2
1.563, 59.1, 96, 2 2 4
1.859, 49.0, 78, 2 -2 0
2.326, 38.7, 77, 2 2 0
1.422, 65.7, 69, 4 1 1

Atomic structure:
```
Li9Co7O16
1.0
5.689 0.000 0.000
1.428 6.253 0.000
1.438 -0.190 7.411
Li Co O
9 7 16
Cartesian
0.000 0.000 0.000 Li
1.394 2.297 0.904 Li
2.869 5.361 4.671 Li
4.250 3.789 6.513 Li
2.860 0.692 2.775 Li
5.695 5.371 4.637 Li
4.305 2.274 0.898 Li
5.686 0.702 2.741 Li
7.161 3.766 6.507 Li
1.433 3.032 3.706 Co
2.846 1.416 5.581 Co
2.840 4.650 1.833 Co
2.844 0.000 0.000 Co
4.277 3.032 3.706 Co
5.715 1.413 5.579 Co
5.709 4.648 1.830 Co
1.437 1.175 4.278 O
1.438 4.298 0.618 O
2.856 3.277 4.997 O
1.520 0.235 1.334 O
2.859 2.801 2.421 O
4.380 5.829 6.087 O
4.281 1.661 6.862 O
4.273 4.876 3.139 O
4.281 1.187 4.273 O
4.273 4.402 0.549 O
4.175 0.234 1.324 O
5.696 3.262 4.991 O
7.034 5.829 6.078 O
5.699 2.786 2.415 O
7.117 1.766 6.793 O
7.117 4.889 3.133 O
```